[1]
Calculated powder XRD pattern of Pd6Pt16Rh7 for λ = 1.5418 Å (Cu Kα), from the PBE geometry in Alexandria.

Structure:
Cell: 8.7771 8.7771 8.7771 Å, 60.00 60.00 60.00°
Positions (direct):
Pd1 0.2282 0.2282 0.7718
Pd2 0.2282 0.7718 0.2282
Pd3 0.2282 0.7718 0.7718
Pd4 0.7718 0.2282 0.2282
Pd5 0.7718 0.2282 0.7718
Pd6 0.7718 0.7718 0.2282
Pt1 0.1298 0.6234 0.6234
Pt2 0.1492 0.1492 0.1492
Pt3 0.1492 0.1492 0.5524
Pt4 0.1492 0.5524 0.1492
Pt5 0.3766 0.3766 0.3766
Pt6 0.3766 0.3766 0.8702
Pt7 0.3766 0.8702 0.3766
Pt8 0.4476 0.8508 0.8508
Pt9 0.5524 0.1492 0.1492
Pt10 0.6234 0.1298 0.6234
Pt11 0.6234 0.6234 0.1298
Pt12 0.6234 0.6234 0.6234
Pt13 0.8508 0.4476 0.8508
Pt14 0.8508 0.8508 0.4476
Pt15 0.8508 0.8508 0.8508
Pt16 0.8702 0.3766 0.3766
Rh1 0.0000 0.0000 0.5000
Rh2 0.0000 0.5000 0.0000
Rh3 0.0000 0.5000 0.5000
Rh4 0.5000 0.0000 0.0000
Rh5 0.5000 0.0000 0.5000
Rh6 0.5000 0.5000 0.0000
Rh7 0.5000 0.5000 0.5000

Largest 10 diffraction maxima, sorted by position, 15° ≤ 2θ ≤ 90°:
- 28.8 deg, intensity 17.1
- 37.7 deg, intensity 15.0
- 41.1 deg, intensity 100.0
- 43.1 deg, intensity 7.3
- 57.0 deg, intensity 6.8
- 59.6 deg, intensity 12.4
- 72.7 deg, intensity 6.0
- 75.0 deg, intensity 21.6
- 79.9 deg, intensity 7.1
- 89.3 deg, intensity 6.2

---

[2]
Calculated powder XRD pattern of NaLiCu2 for λ = 1.5418 Å (Cu Kα), from the PBE geometry in Alexandria.

Structure:
Cell: 9.2357 9.2357 9.2357 Å, 150.93 150.93 41.57°
Positions (direct):
Na1 0.3750 0.6250 0.7500
Na2 0.6250 0.3750 0.2500
Li1 0.1250 0.8750 0.2500
Li2 0.8750 0.1250 0.7500
Cu1 0.0000 0.0000 0.0000
Cu2 0.0000 0.0000 0.5000
Cu3 0.0000 0.5000 0.0000
Cu4 0.5000 0.0000 0.5000

Largest 10 diffraction maxima, sorted by position, 15° ≤ 2θ ≤ 90°:
- 19.8 deg, intensity 75.7
- 20.6 deg, intensity 65.8
- 24.7 deg, intensity 100.0
- 32.3 deg, intensity 49.8
- 40.3 deg, intensity 74.7
- 41.8 deg, intensity 27.6
- 44.0 deg, intensity 41.0
- 50.6 deg, intensity 37.2
- 58.1 deg, intensity 16.7
- 60.4 deg, intensity 30.5

---

[3]
Calculated powder XRD pattern of Tb5Er4Tm2 for λ = 1.5418 Å (Cu Kα), from the PBE geometry in Alexandria.

Structure:
Cell: 6.5454 6.5454 9.1303 Å, 104.23 104.23 67.09°
Positions (direct):
Tb1 0.0000 0.0000 0.0000
Tb2 0.2110 0.6532 0.7251
Tb3 0.3468 0.7890 0.2749
Tb4 0.6532 0.2110 0.7251
Tb5 0.7890 0.3468 0.2749
Er1 0.3114 0.3114 0.9999
Er2 0.3327 0.3327 0.3803
Er3 0.6673 0.6673 0.6197
Er4 0.6886 0.6886 0.0001
Tm1 0.1458 0.1458 0.6193
Tm2 0.8542 0.8542 0.3807

Largest 10 diffraction maxima, sorted by position, 15° ≤ 2θ ≤ 90°:
- 30.1 deg, intensity 63.3
- 30.4 deg, intensity 55.2
- 30.5 deg, intensity 27.8
- 30.7 deg, intensity 42.9
- 32.1 deg, intensity 64.3
- 32.8 deg, intensity 73.8
- 33.5 deg, intensity 100.0
- 39.8 deg, intensity 23.9
- 50.5 deg, intensity 25.1
- 58.8 deg, intensity 20.3

---

[4]
Calculated powder XRD pattern of InHg2I2 for λ = 1.5418 Å (Cu Kα), from the PBE geometry in Alexandria.

Structure:
Cell: 10.4296 10.4296 8.9981 Å, 99.86 99.86 25.24°
Positions (direct):
In1 0.2185 0.2185 0.2283
In2 0.7815 0.7815 0.7717
Hg1 0.0279 0.0279 0.8736
Hg2 0.0693 0.0693 0.5985
Hg3 0.9307 0.9307 0.4015
Hg4 0.9721 0.9721 0.1264
I1 0.3463 0.3463 0.0309
I2 0.3629 0.3629 0.5522
I3 0.6371 0.6371 0.4478
I4 0.6537 0.6537 0.9691

Largest 10 diffraction maxima, sorted by position, 15° ≤ 2θ ≤ 90°:
- 20.0 deg, intensity 71.6
- 21.9 deg, intensity 81.0
- 23.6 deg, intensity 100.0
- 26.6 deg, intensity 73.3
- 29.0 deg, intensity 29.3
- 29.6 deg, intensity 55.5
- 37.1 deg, intensity 47.8
- 39.6 deg, intensity 70.3
- 39.9 deg, intensity 42.8
- 46.5 deg, intensity 33.5

---

[5]
Calculated powder XRD pattern of K2Hg3Ge2S8 for λ = 1.5418 Å (Cu Kα), from the PBE geometry in Alexandria.

Structure:
Cell: 6.5340 6.5340 9.8569 Å, 93.43 93.43 82.78°
Positions (direct):
K1 0.2170 0.2170 0.2308
K2 0.7830 0.7830 0.7692
Hg1 0.3095 0.6905 0.5000
Hg2 0.6287 0.3713 0.0000
Hg3 0.7924 0.2076 0.5000
Ge1 0.2563 0.2789 0.7265
Ge2 0.7211 0.7437 0.2735
S1 0.3090 0.6138 0.7422
S2 0.3831 0.1188 0.5422
S3 0.3862 0.6910 0.2578
S4 0.3966 0.1326 0.9203
S5 0.7576 0.0810 0.2600
S6 0.8674 0.6034 0.0797
S7 0.8812 0.6169 0.4578
S8 0.9190 0.2424 0.7400

Largest 10 diffraction maxima, sorted by position, 15° ≤ 2θ ≤ 90°:
- 16.0 deg, intensity 40.0
- 18.1 deg, intensity 40.4
- 22.5 deg, intensity 67.0
- 24.7 deg, intensity 37.9
- 26.7 deg, intensity 28.8
- 27.5 deg, intensity 100.0
- 28.6 deg, intensity 50.4
- 29.5 deg, intensity 28.8
- 36.6 deg, intensity 29.9
- 36.8 deg, intensity 29.2

---

[6]
Calculated powder XRD pattern of K3AcS2O8 for λ = 1.5418 Å (Cu Kα), from the PBE geometry in Alexandria.

Structure:
Cell: 6.1539 6.1539 7.9677 Å, 90.00 90.00 120.00°
Positions (direct):
K1 0.0000 0.0000 0.0000
K2 0.3333 0.6667 0.7591
K3 0.6667 0.3333 0.2409
Ac1 0.0000 0.0000 0.5000
S1 0.3333 0.6667 0.2657
S2 0.6667 0.3333 0.7343
O1 0.1795 0.3589 0.3008
O2 0.1795 0.8205 0.3008
O3 0.3333 0.6667 0.0778
O4 0.3589 0.1795 0.6992
O5 0.6411 0.8205 0.3008
O6 0.6667 0.3333 0.9222
O7 0.8205 0.1795 0.6992
O8 0.8205 0.6411 0.6992

Largest 10 diffraction maxima, sorted by position, 15° ≤ 2θ ≤ 90°:
- 16.6 deg, intensity 48.6
- 20.0 deg, intensity 84.8
- 28.0 deg, intensity 100.0
- 29.0 deg, intensity 76.2
- 35.5 deg, intensity 19.9
- 40.7 deg, intensity 47.1
- 45.0 deg, intensity 22.0
- 46.5 deg, intensity 20.8
- 50.8 deg, intensity 33.2
- 54.9 deg, intensity 20.6

---

[7]
Calculated powder XRD pattern of Pm3Zn3Co2 for λ = 1.5418 Å (Cu Kα), from the PBE geometry in Alexandria.

Structure:
Cell: 5.5893 5.5893 15.9057 Å, 90.00 90.00 138.72°
Positions (direct):
Pm1 0.0615 0.9385 0.6051
Pm2 0.0615 0.9385 0.8949
Pm3 0.3400 0.6600 0.7500
Pm4 0.6600 0.3400 0.2500
Pm5 0.9385 0.0615 0.1051
Pm6 0.9385 0.0615 0.3949
Zn1 0.3373 0.6627 0.5340
Zn2 0.3373 0.6627 0.9660
Zn3 0.3681 0.6319 0.2500
Zn4 0.6319 0.3681 0.7500
Zn5 0.6627 0.3373 0.0340
Zn6 0.6627 0.3373 0.4660
Co1 0.2332 0.7668 0.1178
Co2 0.2332 0.7668 0.3822
Co3 0.7668 0.2332 0.6178
Co4 0.7668 0.2332 0.8822

Largest 10 diffraction maxima, sorted by position, 15° ≤ 2θ ≤ 90°:
- 33.1 deg, intensity 100.0
- 33.8 deg, intensity 21.8
- 34.3 deg, intensity 46.6
- 34.8 deg, intensity 51.3
- 37.3 deg, intensity 20.2
- 38.4 deg, intensity 64.6
- 41.3 deg, intensity 32.5
- 46.1 deg, intensity 32.7
- 53.4 deg, intensity 23.2
- 57.7 deg, intensity 18.8

---

[8]
Calculated powder XRD pattern of Ti2CoNiSn2 for λ = 1.5418 Å (Cu Kα), from the PBE geometry in Alexandria.

Structure:
Cell: 6.7309 6.7309 6.7309 Å, 38.20 38.20 38.20°
Positions (direct):
Ti1 0.0000 0.0000 0.0000
Ti2 0.4260 0.4260 0.4260
Co1 0.5655 0.5655 0.5655
Ni1 0.1270 0.1270 0.1270
Sn1 0.2754 0.2754 0.2754
Sn2 0.8312 0.8312 0.8312

Largest 10 diffraction maxima, sorted by position, 15° ≤ 2θ ≤ 90°:
- 25.2 deg, intensity 13.4
- 30.2 deg, intensity 39.6
- 33.6 deg, intensity 12.6
- 41.0 deg, intensity 100.0
- 41.3 deg, intensity 83.4
- 43.6 deg, intensity 12.8
- 50.8 deg, intensity 11.6
- 59.6 deg, intensity 37.7
- 74.6 deg, intensity 19.0
- 74.8 deg, intensity 33.2

---

[9]
Calculated powder XRD pattern of K3Ge2S4 for λ = 1.5418 Å (Cu Kα), from the PBE geometry in Alexandria.

Structure:
Cell: 8.8042 8.8042 6.9919 Å, 92.32 92.32 82.20°
Positions (direct):
K1 0.1213 0.8787 0.7500
K2 0.2485 0.5107 0.4315
K3 0.4893 0.7515 0.0685
K4 0.5107 0.2485 0.9315
K5 0.7515 0.4893 0.5685
K6 0.8787 0.1213 0.2500
Ge1 0.0892 0.3253 0.8930
Ge2 0.3253 0.0892 0.3930
Ge3 0.6747 0.9108 0.6070
Ge4 0.9108 0.6747 0.1070
S1 0.1133 0.2184 0.5764
S2 0.2184 0.1133 0.0764
S3 0.2270 0.5261 0.9311
S4 0.4739 0.7730 0.5689
S5 0.5261 0.2270 0.4311
S6 0.7730 0.4739 0.0689
S7 0.7816 0.8867 0.9236
S8 0.8867 0.7816 0.4236

Largest 10 diffraction maxima, sorted by position, 15° ≤ 2θ ≤ 90°:
- 16.5 deg, intensity 19.0
- 24.5 deg, intensity 100.0
- 27.2 deg, intensity 37.4
- 29.6 deg, intensity 17.6
- 30.9 deg, intensity 49.9
- 33.0 deg, intensity 36.9
- 34.7 deg, intensity 44.1
- 35.1 deg, intensity 53.7
- 41.8 deg, intensity 25.8
- 50.1 deg, intensity 23.7

---

[10]
Calculated powder XRD pattern of TbPm3Sn4 for λ = 1.5418 Å (Cu Kα), from the PBE geometry in Alexandria.

Structure:
Cell: 6.3267 12.6925 6.3294 Å, 90.00 90.00 90.00°
Positions (direct):
Tb1 0.2500 0.2500 0.2349
Tb2 0.7500 0.7500 0.7651
Pm1 0.2500 0.0000 0.7520
Pm2 0.2500 0.5000 0.7520
Pm3 0.2500 0.7500 0.2670
Pm4 0.7500 0.0000 0.2480
Pm5 0.7500 0.2500 0.7330
Pm6 0.7500 0.5000 0.2480
Sn1 0.2500 0.0020 0.2520
Sn2 0.2500 0.2500 0.7348
Sn3 0.2500 0.4980 0.2520
Sn4 0.2500 0.7500 0.7672
Sn5 0.7500 0.2500 0.2328
Sn6 0.7500 0.5020 0.7480
Sn7 0.7500 0.7500 0.2652
Sn8 0.7500 0.9980 0.7480

Largest 10 diffraction maxima, sorted by position, 15° ≤ 2θ ≤ 90°:
- 28.2 deg, intensity 100.0
- 40.3 deg, intensity 77.0
- 49.9 deg, intensity 27.7
- 58.1 deg, intensity 4.5
- 58.3 deg, intensity 8.6
- 65.9 deg, intensity 12.3
- 66.0 deg, intensity 23.6
- 73.1 deg, intensity 9.1
- 73.2 deg, intensity 17.5
- 87.0 deg, intensity 5.9

---

[11]
Calculated powder XRD pattern of TiVInMo for λ = 1.5418 Å (Cu Kα), from the PBE geometry in Alexandria.

Structure:
Cell: 4.5372 4.5372 4.5372 Å, 60.00 60.00 60.00°
Positions (direct):
Ti1 0.0000 0.0000 0.0000
V1 0.5000 0.5000 0.5000
In1 0.7500 0.7500 0.7500
Mo1 0.2500 0.2500 0.2500

Largest 8 diffraction maxima, sorted by position, 15° ≤ 2θ ≤ 90°:
- 24.0 deg, intensity 0.9
- 27.8 deg, intensity 18.2
- 39.7 deg, intensity 100.0
- 49.2 deg, intensity 5.2
- 57.4 deg, intensity 16.0
- 65.0 deg, intensity 7.0
- 72.1 deg, intensity 31.6
- 85.6 deg, intensity 10.1

---

[12]
Calculated powder XRD pattern of Na2CuAg2S2O2 for λ = 1.5418 Å (Cu Kα), from the PBE geometry in Alexandria.

Structure:
Cell: 10.0229 10.0229 10.0229 Å, 157.39 157.39 32.19°
Positions (direct):
Na1 0.0764 0.0764 0.0000
Na2 0.9236 0.9236 0.0000
Cu1 0.5000 0.5000 0.0000
Ag1 0.2500 0.7500 0.5000
Ag2 0.7500 0.2500 0.5000
S1 0.3384 0.3384 0.0000
S2 0.6616 0.6616 0.0000
O1 0.0000 0.5000 0.5000
O2 0.5000 0.0000 0.5000

Largest 10 diffraction maxima, sorted by position, 15° ≤ 2θ ≤ 90°:
- 18.4 deg, intensity 100.0
- 32.6 deg, intensity 22.3
- 33.6 deg, intensity 82.5
- 37.4 deg, intensity 71.3
- 40.0 deg, intensity 19.3
- 43.1 deg, intensity 46.6
- 46.2 deg, intensity 46.2
- 50.1 deg, intensity 48.7
- 77.4 deg, intensity 23.0
- 79.7 deg, intensity 18.3